The following is a calculated X-ray powder pattern of Th2VAs. It was derived from a crystal structure in Alexandria, relaxed with GGA-PBE, using Cu Kα (weighted mean of Kα1 and Kα2).
Intensities are scaled so that the largest is 100.

Principal peaks in the range 10 to 80 degrees two-theta, by angle:
2θ/deg  I/Imax
18.49  38
28.17  72
28.69  49
32.10  100
42.31  68
49.53  45

Crystal structure
```
data_Th2VAs
_symmetry_space_group_name_H-M 'R -3 m'
_symmetry_Int_Tables_number 166
_symmetry_space_group_name_Hall '-R 3 2"'
_cell_length_a 3.6805
_cell_length_b 3.6805
_cell_length_c 28.7865
_cell_angle_alpha 90.00
_cell_angle_beta 90.00
_cell_angle_gamma 120.00
loop_
_atom_site_label
_atom_site_type_symbol
_atom_site_fract_x
_atom_site_fract_y
_atom_site_fract_z
Th1 Th 0.0000 0.0000 0.0967
V1 V 0.0000 0.0000 0.0000
As1 As 0.0000 0.0000 0.5000
```


The following is a calculated X-ray powder pattern of Ti2As3. It was derived from a crystal structure in Alexandria, relaxed with GGA-PBE, using Cu Kα (weighted mean of Kα1 and Kα2).
Intensities are scaled so that the largest is 100.

Principal peaks in the range 10 to 80 degrees two-theta, by angle:
2θ/deg  I/Imax
31.45  42
32.93  100
33.30  91
38.71  54
41.09  33
52.84  78

Crystal structure
```
data_Ti2As3
_symmetry_space_group_name_H-M 'P 1 21/m 1'
_symmetry_Int_Tables_number 11
_symmetry_space_group_name_Hall '-P 2yb'
_cell_length_a 6.026
_cell_length_b 3.463
_cell_length_c 9.753
_cell_angle_alpha 90.00
_cell_angle_beta 106.43
_cell_angle_gamma 90.00
loop_
_atom_site_label
_atom_site_type_symbol
_atom_site_fract_x
_atom_site_fract_y
_atom_site_fract_z
Ti1 Ti 0.103 0.250 0.151
Ti2 Ti 0.251 0.250 0.497
As1 As 0.011 0.250 0.681
As2 As 0.299 0.750 0.026
As3 As 0.486 0.750 0.670
```


The following is a calculated X-ray powder pattern of Ti4As3. It was derived from a crystal structure in Alexandria, relaxed with GGA-PBE, using Cu Kα (weighted mean of Kα1 and Kα2).
Intensities are scaled so that the largest is 100.

Principal peaks in the range 10 to 80 degrees two-theta, by angle:
2θ/deg  I/Imax
28.43  22
36.96  100
44.06  64
53.27  21
61.48  15
76.33  26

Crystal structure
```
data_Ti4As3
_symmetry_space_group_name_H-M 'I -4 3 d'
_symmetry_Int_Tables_number 220
_symmetry_space_group_name_Hall 'I -4bd 2c 3'
_cell_length_a 7.691
_cell_length_b 7.691
_cell_length_c 7.691
_cell_angle_alpha 90.00
_cell_angle_beta 90.00
_cell_angle_gamma 90.00
loop_
_atom_site_label
_atom_site_type_symbol
_atom_site_fract_x
_atom_site_fract_y
_atom_site_fract_z
Ti1 Ti 0.075 0.425 0.575
As1 As 0.000 0.250 0.875
```


The following is a calculated X-ray powder pattern of Ti5As3. It was derived from a crystal structure in Alexandria, relaxed with GGA-PBE, using Cu Kα (weighted mean of Kα1 and Kα2).
Intensities are scaled so that the largest is 100.

Principal peaks in the range 10 to 80 degrees two-theta, by angle:
2θ/deg  I/Imax
30.34  46
36.39  98
38.31  77
39.04  53
39.82  100
46.65  51

Crystal structure
```
data_Ti5As3
_symmetry_space_group_name_H-M 'P n m a'
_symmetry_Int_Tables_number 62
_symmetry_space_group_name_Hall '-P 2ac 2n'
_cell_length_a 9.821
_cell_length_b 7.788
_cell_length_c 6.753
_cell_angle_alpha 90.00
_cell_angle_beta 90.00
_cell_angle_gamma 90.00
loop_
_atom_site_label
_atom_site_type_symbol
_atom_site_fract_x
_atom_site_fract_y
_atom_site_fract_z
Ti1 Ti 0.002 0.250 0.028
Ti2 Ti 0.060 0.053 0.698
Ti3 Ti 0.210 0.750 0.339
Ti4 Ti 0.231 0.250 0.328
As1 As 0.020 0.750 0.586
As2 As 0.175 0.509 0.070
```


The following is a calculated X-ray powder pattern of U2TiAs3. It was derived from a crystal structure in Alexandria, relaxed with GGA-PBE, using Cu Kα (weighted mean of Kα1 and Kα2).
Intensities are scaled so that the largest is 100.

Principal peaks in the range 10 to 80 degrees two-theta, by angle:
2θ/deg  I/Imax
29.74  100
32.07  40
41.52  44
46.72  45
56.37  17
75.21  15

Crystal structure
```
data_U2TiAs3
_symmetry_space_group_name_H-M 'P 63/m m c'
_symmetry_Int_Tables_number 194
_symmetry_space_group_name_Hall '-P 6c 2c'
_cell_length_a 3.8886
_cell_length_b 3.8886
_cell_length_c 19.9449
_cell_angle_alpha 90.00
_cell_angle_beta 90.00
_cell_angle_gamma 120.00
loop_
_atom_site_label
_atom_site_type_symbol
_atom_site_fract_x
_atom_site_fract_y
_atom_site_fract_z
U1 U 0.3333 0.6667 0.0911
Ti1 Ti 0.0000 0.0000 0.2500
As1 As 0.0000 0.0000 0.0000
As2 As 0.3333 0.6667 0.6784
```


The following is a calculated X-ray powder pattern of YTiAs. It was derived from a crystal structure in Alexandria, relaxed with GGA-PBE, using Cu Kα (weighted mean of Kα1 and Kα2).
Intensities are scaled so that the largest is 100.

Principal peaks in the range 10 to 80 degrees two-theta, by angle:
2θ/deg  I/Imax
31.75  60
32.45  69
33.90  67
39.73  100
42.08  44
45.52  69

Crystal structure
```
data_YTiAs
_symmetry_space_group_name_H-M 'P 4/n m m'
_symmetry_Int_Tables_number 129
_cell_length_a 3.985
_cell_length_b 3.985
_cell_length_c 7.648
_cell_angle_alpha 90.00
_cell_angle_beta 90.00
_cell_angle_gamma 90.00
loop_
_symmetry_equiv_pos_as_xyz
'x,y,z'
'-x,-y,-z'
'-y+1/2,x,z'
'y+1/2,-x,-z'
'-x+1/2,-y+1/2,z'
'x+1/2,y+1/2,-z'
'y,-x+1/2,z'
'-y,x+1/2,-z'
'x+1/2,-y,-z'
'-x+1/2,y,z'
'-y,-x,-z'
'y,x,z'
'-x,y+1/2,-z'
'x,-y+1/2,z'
'y+1/2,x+1/2,-z'
'-y+1/2,-x+1/2,z'
loop_
_atom_site_label
_atom_site_type_symbol
_atom_site_fract_x
_atom_site_fract_y
_atom_site_fract_z
Y1 Y 0.250 0.250 0.148
Ti1 Ti 0.250 0.750 0.500
As1 As 0.250 0.250 0.743
```


The following is a calculated X-ray powder pattern of TiZnAs. It was derived from a crystal structure in Alexandria, relaxed with GGA-PBE, using Cu Kα (weighted mean of Kα1 and Kα2).
Intensities are scaled so that the largest is 100.

Principal peaks in the range 10 to 80 degrees two-theta, by angle:
2θ/deg  I/Imax
36.35  59
36.88  100
42.69  85
49.98  48
63.35  43
73.68  18

Crystal structure
```
data_TiZnAs
_symmetry_space_group_name_H-M 'P 4/n m m'
_symmetry_Int_Tables_number 129
_cell_length_a 3.650
_cell_length_b 3.650
_cell_length_c 7.415
_cell_angle_alpha 90.00
_cell_angle_beta 90.00
_cell_angle_gamma 90.00
loop_
_symmetry_equiv_pos_as_xyz
'x,y,z'
'-x,-y,-z'
'-y+1/2,x,z'
'y+1/2,-x,-z'
'-x+1/2,-y+1/2,z'
'x+1/2,y+1/2,-z'
'y,-x+1/2,z'
'-y,x+1/2,-z'
'x+1/2,-y,-z'
'-x+1/2,y,z'
'-y,-x,-z'
'y,x,z'
'-x,y+1/2,-z'
'x,-y+1/2,z'
'y+1/2,x+1/2,-z'
'-y+1/2,-x+1/2,z'
loop_
_atom_site_label
_atom_site_type_symbol
_atom_site_fract_x
_atom_site_fract_y
_atom_site_fract_z
Ti1 Ti 0.250 0.250 0.160
Zn1 Zn 0.250 0.750 0.500
As1 As 0.250 0.250 0.815
```


The following is a calculated X-ray powder pattern of TiZnAs2. It was derived from a crystal structure in Alexandria, relaxed with GGA-PBE, using Cu Kα (weighted mean of Kα1 and Kα2).
Intensities are scaled so that the largest is 100.

Principal peaks in the range 10 to 80 degrees two-theta, by angle:
2θ/deg  I/Imax
31.49  100
40.97  99
49.02  57
53.68  22
59.44  16
65.75  23

Crystal structure
```
data_TiZnAs2
_symmetry_space_group_name_H-M 'P -3 m 1'
_symmetry_Int_Tables_number 164
_symmetry_space_group_name_Hall '-P 3 2"'
_cell_length_a 3.7163
_cell_length_b 3.7163
_cell_length_c 6.0425
_cell_angle_alpha 90.00
_cell_angle_beta 90.00
_cell_angle_gamma 120.00
loop_
_atom_site_label
_atom_site_type_symbol
_atom_site_fract_x
_atom_site_fract_y
_atom_site_fract_z
Ti1 Ti 0.0000 0.0000 0.0000
Zn1 Zn 0.0000 0.0000 0.5000
As1 As 0.3333 0.6667 0.7514
```


The following is a calculated X-ray powder pattern of Tl4As5. It was derived from a crystal structure in Alexandria, relaxed with GGA-PBE, using Cu Kα (weighted mean of Kα1 and Kα2).
Intensities are scaled so that the largest is 100.

Principal peaks in the range 10 to 80 degrees two-theta, by angle:
2θ/deg  I/Imax
19.01  52
25.66  50
27.01  98
32.13  41
34.95  100
56.84  45

Crystal structure
```
data_Tl4As5
_symmetry_space_group_name_H-M 'I 4/m m m'
_symmetry_Int_Tables_number 139
_symmetry_space_group_name_Hall '-I 4 2'
_cell_length_a 13.205
_cell_length_b 13.205
_cell_length_c 3.599
_cell_angle_alpha 90.00
_cell_angle_beta 90.00
_cell_angle_gamma 90.00
loop_
_atom_site_label
_atom_site_type_symbol
_atom_site_fract_x
_atom_site_fract_y
_atom_site_fract_z
Tl1 Tl 0.000 0.227 0.000
As1 As 0.000 0.000 0.000
As2 As 0.206 0.206 0.500
```


The following is a calculated X-ray powder pattern of TlAs3. It was derived from a crystal structure in Alexandria, relaxed with GGA-PBE, using Cu Kα (weighted mean of Kα1 and Kα2).
Intensities are scaled so that the largest is 100.

Principal peaks in the range 10 to 80 degrees two-theta, by angle:
2θ/deg  I/Imax
28.11  40
31.38  51
33.03  94
36.59  37
36.95  100
40.04  37

Crystal structure
```
data_TlAs3
_symmetry_space_group_name_H-M 'C 1 2/m 1'
_symmetry_Int_Tables_number 12
_symmetry_space_group_name_Hall '-C 2y'
_cell_length_a 10.438
_cell_length_b 3.529
_cell_length_c 5.861
_cell_angle_alpha 90.00
_cell_angle_beta 109.74
_cell_angle_gamma 90.00
loop_
_atom_site_label
_atom_site_type_symbol
_atom_site_fract_x
_atom_site_fract_y
_atom_site_fract_z
Tl1 Tl 0.000 0.000 0.000
As1 As 0.000 0.500 0.500
As2 As 0.213 0.000 0.626
```


The following is a calculated X-ray powder pattern of TlAs4. It was derived from a crystal structure in Alexandria, relaxed with GGA-PBE, using Cu Kα (weighted mean of Kα1 and Kα2).
Intensities are scaled so that the largest is 100.

Principal peaks in the range 10 to 80 degrees two-theta, by angle:
2θ/deg  I/Imax
23.02  66
32.78  100
36.78  33
47.04  33
53.00  29
68.71  22

Crystal structure
```
data_TlAs4
_symmetry_space_group_name_H-M 'I 4/m'
_symmetry_Int_Tables_number 87
_symmetry_space_group_name_Hall '-I 4'
_cell_length_a 7.727
_cell_length_b 7.727
_cell_length_c 4.462
_cell_angle_alpha 90.00
_cell_angle_beta 90.00
_cell_angle_gamma 90.00
loop_
_atom_site_label
_atom_site_type_symbol
_atom_site_fract_x
_atom_site_fract_y
_atom_site_fract_z
Tl1 Tl 0.000 0.000 0.000
As1 As 0.082 0.364 0.500
```


The following is a calculated X-ray powder pattern of Tl2As. It was derived from a crystal structure in Alexandria, relaxed with GGA-PBE, using Cu Kα (weighted mean of Kα1 and Kα2).
Intensities are scaled so that the largest is 100.

Principal peaks in the range 10 to 80 degrees two-theta, by angle:
2θ/deg  I/Imax
26.30  24
31.54  100
36.39  14
36.58  20
36.75  15
62.72  14

Crystal structure
```
data_Tl2As
_symmetry_space_group_name_H-M 'C m c m'
_symmetry_Int_Tables_number 63
_symmetry_space_group_name_Hall '-C 2c 2'
_cell_length_a 14.673
_cell_length_b 4.937
_cell_length_c 4.913
_cell_angle_alpha 90.00
_cell_angle_beta 90.00
_cell_angle_gamma 90.00
loop_
_atom_site_label
_atom_site_type_symbol
_atom_site_fract_x
_atom_site_fract_y
_atom_site_fract_z
Tl1 Tl 0.151 0.232 0.250
As1 As 0.000 0.360 0.750
```